Starting from the GGA-PBE geometry in Alexandria, the X-ray powder pattern of MgSn2F11 was computed for Cu Kα (λ = 1.5418 Å).
Kinematic intensities with the Lorentz-polarization factor, no thermal factor.

Main lines, most intense first (5° ≤ 2θ ≤ 70°):
h k l, d_spacing, two_theta, intensity
2 1 1, 3.509, 25.38, 100
0 0 2, 5.174, 17.14, 63
0 2 2, 3.564, 24.98, 59
0 2 0, 4.917, 18.04, 35
1 1 2, 3.982, 22.33, 19
2 3 3, 2.047, 44.25, 18

Crystal structure
```
data_MgSn2F11
_symmetry_space_group_name_H-M 'I b a m'
_symmetry_Int_Tables_number 72
_symmetry_space_group_name_Hall '-I 2 2c'
_cell_length_a 8.061
_cell_length_b 9.834
_cell_length_c 10.349
_cell_angle_alpha 90.00
_cell_angle_beta 90.00
_cell_angle_gamma 90.00
loop_
_atom_site_label
_atom_site_fract_x
_atom_site_fract_y
_atom_site_fract_z
_atom_site_occupancy
Mg1 0.000 0.000 0.250 1
Sn1 0.113 0.288 0.000 1
F1 0.000 0.500 0.000 1
F2 0.080 0.135 0.129 1
F3 0.142 0.284 0.500 1
F4 0.196 0.394 0.150 1
```

***

Starting from the GGA-PBE geometry in Alexandria, the X-ray powder pattern of Tb2Y2Sb5 was computed for Cu Kα (λ = 1.5418 Å).
Kinematic intensities with the Lorentz-polarization factor, no thermal factor.

Main lines, most intense first (5° ≤ 2θ ≤ 70°):
h k l, d_spacing, two_theta, intensity
3 1 2, 3.005, 29.73, 100
4 2 1, 2.659, 33.70, 78
1 1 3, 2.562, 35.03, 78
1 3 1, 2.507, 35.82, 71
5 1 1, 2.765, 32.38, 66
0 2 2, 2.870, 31.16, 51

Crystal structure
```
data_Tb2Y2Sb5
_symmetry_space_group_name_H-M 'C m c e'
_symmetry_Int_Tables_number 64
_symmetry_space_group_name_Hall '-C 2ac 2'
_cell_length_a 15.775
_cell_length_b 8.009
_cell_length_c 8.233
_cell_angle_alpha 90.00
_cell_angle_beta 90.00
_cell_angle_gamma 90.00
loop_
_atom_site_label
_atom_site_fract_x
_atom_site_fract_y
_atom_site_fract_z
_atom_site_occupancy
Tb1 0.190 0.000 0.000 1
Y1 0.000 0.157 0.338 1
Sb1 0.000 0.000 0.000 1
Sb2 0.141 0.146 0.646 1
```

***

Starting from the GGA-PBE geometry in Alexandria, the X-ray powder pattern of Ta2VCr4 was computed for Cu Kα (λ = 1.5418 Å).
Kinematic intensities with the Lorentz-polarization factor, no thermal factor.

Main lines, most intense first (5° ≤ 2θ ≤ 70°):
h k l, d_spacing, two_theta, intensity
1 1 4, 2.177, 41.48, 100
1 1 0, 2.989, 29.89, 89
2 0 0, 2.114, 42.79, 57
1 0 1, 4.010, 22.17, 34
2 1 5, 1.517, 61.11, 27
2 2 0, 1.495, 62.10, 22

Crystal structure
```
data_Ta2VCr4
_symmetry_space_group_name_H-M 'I 4/m m m'
_symmetry_Int_Tables_number 139
_symmetry_space_group_name_Hall '-I 4 2'
_cell_length_a 4.226
_cell_length_b 4.226
_cell_length_c 12.706
_cell_angle_alpha 90.00
_cell_angle_beta 90.00
_cell_angle_gamma 90.00
loop_
_atom_site_label
_atom_site_fract_x
_atom_site_fract_y
_atom_site_fract_z
_atom_site_occupancy
Ta1 0.000 0.000 0.126 1
V1 0.000 0.000 0.500 1
Cr1 0.000 0.000 0.320 1
Cr2 0.000 0.500 0.000 1
```

***

Starting from the GGA-PBE geometry in Alexandria, the X-ray powder pattern of Tl4Ga2Sn3 was computed for Cu Kα (λ = 1.5418 Å).
Kinematic intensities with the Lorentz-polarization factor, no thermal factor.

Main lines, most intense first (5° ≤ 2θ ≤ 70°):
h k l, d_spacing, two_theta, intensity
2 4 -1, 2.873, 31.13, 100
2 4 1, 2.557, 35.10, 48
0 0 2, 2.990, 29.89, 35
4 0 -2, 2.420, 37.15, 35
4 0 0, 2.857, 31.31, 25
2 4 -3, 1.786, 51.13, 25

Crystal structure
```
data_Tl4Ga2Sn3
_symmetry_space_group_name_H-M 'C 1 2/c 1'
_symmetry_Int_Tables_number 15
_cell_length_a 11.876
_cell_length_b 14.279
_cell_length_c 6.213
_cell_angle_alpha 90.00
_cell_angle_beta 105.78
_cell_angle_gamma 90.00
loop_
_symmetry_equiv_pos_as_xyz
'x,y,z'
'-x,-y,-z'
'-x,y,-z+1/2'
'x,-y,z+1/2'
'x+1/2,y+1/2,z'
'-x+1/2,-y+1/2,-z'
'-x+1/2,y+1/2,-z+1/2'
'x+1/2,-y+1/2,z+1/2'
loop_
_atom_site_label
_atom_site_fract_x
_atom_site_fract_y
_atom_site_fract_z
_atom_site_occupancy
Tl1 0.107 0.198 0.020 1
Tl2 0.140 0.322 0.538 1
Ga1 0.197 0.413 0.099 1
Sn1 0.000 0.487 0.750 1
Sn2 0.116 0.048 0.475 1
```

***

Starting from the GGA-PBE geometry in Alexandria, the X-ray powder pattern of Cs2Tm3NpO8 was computed for Cu Kα (λ = 1.5418 Å).
Kinematic intensities with the Lorentz-polarization factor, no thermal factor.

Main lines, most intense first (5° ≤ 2θ ≤ 70°):
h k l, d_spacing, two_theta, intensity
0 0 1, 7.245, 12.22, 100
0 2 2, 2.602, 34.46, 62
0 0 2, 3.623, 24.57, 58
0 2 0, 2.860, 31.27, 50
2 2 1, 2.937, 30.43, 48
4 2 2, 1.712, 53.54, 29

Crystal structure
```
data_Cs2Tm3NpO8
_symmetry_space_group_name_H-M 'P 1'
_symmetry_Int_Tables_number 1
_cell_length_a 6.846
_cell_length_b 6.846
_cell_length_c 8.244
_cell_angle_alpha 65.64
_cell_angle_beta 65.55
_cell_angle_gamma 60.00
loop_
_symmetry_equiv_pos_as_xyz
'x,y,z'
loop_
_atom_site_label
_atom_site_fract_x
_atom_site_fract_y
_atom_site_fract_z
_atom_site_occupancy
Cs1 0.000 0.000 0.000 1
Cs2 0.343 0.344 0.971 1
Tm1 0.001 0.002 0.492 1
Tm2 0.001 0.506 0.492 1
Tm3 0.505 0.002 0.492 1
Np1 0.512 0.513 0.463 1
O1 0.214 0.214 0.358 1
O2 0.227 0.721 0.331 1
O3 0.303 0.304 0.626 1
O4 0.303 0.767 0.626 1
O5 0.721 0.227 0.331 1
O6 0.721 0.721 0.331 1
O7 0.766 0.304 0.626 1
O8 0.791 0.792 0.627 1
```

***

Starting from the GGA-PBE geometry in Alexandria, the X-ray powder pattern of K2RbNa10 was computed for Cu Kα (λ = 1.5418 Å).
Kinematic intensities with the Lorentz-polarization factor, no thermal factor.

Main lines, most intense first (5° ≤ 2θ ≤ 70°):
h k l, d_spacing, two_theta, intensity
4 0 0, 3.170, 28.15, 100
0 4 2, 3.301, 27.01, 57
2 4 0, 3.318, 26.87, 42
0 4 6, 1.830, 49.83, 29
0 2 3, 3.660, 24.32, 28
3 1 2, 3.411, 26.12, 25

Crystal structure
```
data_K2RbNa10
_symmetry_space_group_name_H-M 'C m c m'
_symmetry_Int_Tables_number 63
_symmetry_space_group_name_Hall '-C 2c 2'
_cell_length_a 12.680
_cell_length_b 15.577
_cell_length_c 12.440
_cell_angle_alpha 90.00
_cell_angle_beta 90.00
_cell_angle_gamma 90.00
loop_
_atom_site_label
_atom_site_fract_x
_atom_site_fract_y
_atom_site_fract_z
_atom_site_occupancy
K1 0.250 0.250 0.000 1
Rb1 0.000 0.125 0.250 1
Na1 0.000 0.136 0.609 1
Na2 0.000 0.412 0.091 1
Na3 0.135 0.385 0.750 1
Na4 0.222 0.000 0.000 1
Na5 0.248 0.397 0.250 1
```

***

Starting from the GGA-PBE geometry in Alexandria, the X-ray powder pattern of In3CuAg3 was computed for Cu Kα (λ = 1.5418 Å).
Kinematic intensities with the Lorentz-polarization factor, no thermal factor.

Main lines, most intense first (5° ≤ 2θ ≤ 70°):
h k l, d_spacing, two_theta, intensity
2 1 1, 2.382, 37.76, 100
2 0 1, 2.872, 31.14, 37
0 0 2, 2.284, 39.46, 28
5 0 1, 1.406, 66.49, 18
2 2 0, 2.133, 42.38, 15
2 2 2, 1.559, 59.29, 11

Crystal structure
```
data_In3CuAg3
_symmetry_space_group_name_H-M 'P 63/m m c'
_symmetry_Int_Tables_number 194
_symmetry_space_group_name_Hall '-P 6c 2c'
_cell_length_a 8.5305
_cell_length_b 8.5305
_cell_length_c 4.5673
_cell_angle_alpha 90.00
_cell_angle_beta 90.00
_cell_angle_gamma 120.00
loop_
_atom_site_label
_atom_site_fract_x
_atom_site_fract_y
_atom_site_fract_z
_atom_site_occupancy
In1 0.1473 0.2945 0.2500 1
Cu1 0.3333 0.6667 0.2500 1
Ag1 0.1104 0.5552 0.7500 1
```

***

Starting from the GGA-PBE geometry in Alexandria, the X-ray powder pattern of Pr3Cu3Sn4 was computed for Cu Kα (λ = 1.5418 Å).
Kinematic intensities with the Lorentz-polarization factor, no thermal factor.

Main lines, most intense first (5° ≤ 2θ ≤ 70°):
h k l, d_spacing, two_theta, intensity
3 2 1, 2.633, 34.06, 100
3 1 0, 3.115, 28.66, 54
4 2 0, 2.203, 40.97, 34
6 1 1, 1.598, 57.69, 18
4 2 2, 2.011, 45.09, 18
6 2 0, 1.557, 59.34, 15

Crystal structure
```
data_Pr3Cu3Sn4
_symmetry_space_group_name_H-M 'I -4 3 d'
_symmetry_Int_Tables_number 220
_symmetry_space_group_name_Hall 'I -4bd 2c 3'
_cell_length_a 9.850
_cell_length_b 9.850
_cell_length_c 9.850
_cell_angle_alpha 90.00
_cell_angle_beta 90.00
_cell_angle_gamma 90.00
loop_
_atom_site_label
_atom_site_fract_x
_atom_site_fract_y
_atom_site_fract_z
_atom_site_occupancy
Pr1 0.000 0.250 0.875 1
Cu1 0.000 0.250 0.375 1
Sn1 0.078 0.422 0.578 1
```

***

Starting from the GGA-PBE geometry in Alexandria, the X-ray powder pattern of Pu3Pa5S8 was computed for Cu Kα (λ = 1.5418 Å).
Kinematic intensities with the Lorentz-polarization factor, no thermal factor.

Main lines, most intense first (5° ≤ 2θ ≤ 70°):
h k l, d_spacing, two_theta, intensity
0 2 4, 2.762, 32.42, 100
2 0 2, 3.173, 28.12, 79
2 0 8, 1.967, 46.14, 38
2 2 0, 1.939, 46.87, 36
0 0 6, 3.237, 27.56, 28
2 2 6, 1.663, 55.23, 26

Crystal structure
```
data_Pu3Pa5S8
_symmetry_space_group_name_H-M 'R -3 m'
_symmetry_Int_Tables_number 166
_symmetry_space_group_name_Hall '-R 3 2"'
_cell_length_a 7.7543
_cell_length_b 7.7543
_cell_length_c 19.4201
_cell_angle_alpha 90.00
_cell_angle_beta 90.00
_cell_angle_gamma 120.00
loop_
_atom_site_label
_atom_site_fract_x
_atom_site_fract_y
_atom_site_fract_z
_atom_site_occupancy
Pu1 0.0000 0.5000 0.0000 1
Pa1 0.0000 0.0000 0.0000 1
Pa2 0.0000 0.0000 0.5000 1
Pa3 0.0000 0.5000 0.5000 1
S1 0.0000 0.0000 0.2512 1
S2 0.0015 0.5007 0.2509 1
```

***

Starting from the GGA-PBE geometry in Alexandria, the X-ray powder pattern of GaHg2F6 was computed for Cu Kα (λ = 1.5418 Å).
Kinematic intensities with the Lorentz-polarization factor, no thermal factor.

Main lines, most intense first (5° ≤ 2θ ≤ 70°):
h k l, d_spacing, two_theta, intensity
1 3 1, 3.262, 27.34, 100
0 2 0, 9.045, 9.78, 24
0 6 0, 3.015, 29.63, 19
1 9 1, 1.785, 51.19, 19
3 3 1, 1.679, 54.65, 18
1 5 1, 2.646, 33.88, 17

Crystal structure
```
data_GaHg2F6
_symmetry_space_group_name_H-M 'C m c e'
_symmetry_Int_Tables_number 64
_symmetry_space_group_name_Hall '-C 2ac 2'
_cell_length_a 5.539
_cell_length_b 18.089
_cell_length_c 5.435
_cell_angle_alpha 90.00
_cell_angle_beta 90.00
_cell_angle_gamma 90.00
loop_
_atom_site_label
_atom_site_fract_x
_atom_site_fract_y
_atom_site_fract_z
_atom_site_occupancy
Ga1 0.000 0.000 0.000 1
Hg1 0.000 0.173 0.454 1
F1 0.000 0.101 0.085 1
F2 0.250 0.021 0.750 1
F3 0.250 0.227 0.750 1
```

***

Starting from the GGA-PBE geometry in Alexandria, the X-ray powder pattern of RhPb2ClO4 was computed for Cu Kα (λ = 1.5418 Å).
Kinematic intensities with the Lorentz-polarization factor, no thermal factor.

Main lines, most intense first (5° ≤ 2θ ≤ 70°):
h k l, d_spacing, two_theta, intensity
1 1 1, 2.818, 31.76, 100
0 0 1, 8.919, 9.92, 89
2 0 -3, 3.121, 28.60, 87
3 1 -2, 2.259, 39.91, 69
4 0 -1, 2.332, 38.60, 57
2 0 -2, 4.046, 21.97, 56

Crystal structure
```
data_RhPb2ClO4
_symmetry_space_group_name_H-M 'C 1 2/m 1'
_symmetry_Int_Tables_number 12
_cell_length_a 9.489
_cell_length_b 3.345
_cell_length_c 9.785
_cell_angle_alpha 90.00
_cell_angle_beta 114.29
_cell_angle_gamma 90.00
loop_
_symmetry_equiv_pos_as_xyz
'x,y,z'
'-x,-y,-z'
'-x,y,-z'
'x,-y,z'
'x+1/2,y+1/2,z'
'-x+1/2,-y+1/2,-z'
'-x+1/2,y+1/2,-z'
'x+1/2,-y+1/2,z'
loop_
_atom_site_label
_atom_site_fract_x
_atom_site_fract_y
_atom_site_fract_z
_atom_site_occupancy
Rh1 0.000 0.000 0.000 1
Pb1 0.177 0.000 0.770 1
Cl1 0.000 0.500 0.500 1
O1 0.114 0.500 0.968 1
O2 0.147 0.000 0.212 1
```

***

Starting from the GGA-PBE geometry in Alexandria, the X-ray powder pattern of Rb3I2Br6 was computed for Cu Kα (λ = 1.5418 Å).
Kinematic intensities with the Lorentz-polarization factor, no thermal factor.

Main lines, most intense first (5° ≤ 2θ ≤ 70°):
h k l, d_spacing, two_theta, intensity
2 2 -1, 2.949, 30.31, 100
2 0 -4, 3.097, 28.83, 96
0 2 3, 3.035, 29.43, 90
1 1 -2, 4.896, 18.12, 84
0 0 2, 6.998, 12.65, 64
2 0 3, 2.815, 31.79, 62

Crystal structure
```
data_Rb3I2Br6
_symmetry_space_group_name_H-M 'C 1 2/m 1'
_symmetry_Int_Tables_number 12
_cell_length_a 8.753
_cell_length_b 7.992
_cell_length_c 14.434
_cell_angle_alpha 90.00
_cell_angle_beta 104.16
_cell_angle_gamma 90.00
loop_
_symmetry_equiv_pos_as_xyz
'x,y,z'
'-x,-y,-z'
'-x,y,-z'
'x,-y,z'
'x+1/2,y+1/2,z'
'-x+1/2,-y+1/2,-z'
'-x+1/2,y+1/2,-z'
'x+1/2,-y+1/2,z'
loop_
_atom_site_label
_atom_site_fract_x
_atom_site_fract_y
_atom_site_fract_z
_atom_site_occupancy
Rb1 0.000 0.000 0.000 1
Rb2 0.106 0.000 0.301 1
I1 0.055 0.500 0.291 1
Br1 0.178 0.268 0.841 1
Br2 0.188 0.000 0.562 1
```